# Ho12Er2Tm
Computed powder X-ray diffraction pattern, λ = 1.5418 Å (Cu Kα). Input: a crystal structure in Alexandria, relaxed with PBE.
Intensities are scaled so that the largest is 100.

Cell and atoms:
a b c (Å): 3.5840 5.6140 23.2255
angles (deg): 90.00 94.11 90.00
Space group P2/m (No. 10)
Inequivalent atoms, fractional coordinates:
1 Ho 0.0331 0.0000 0.0661 [2 per cell]
2 Ho 0.0763 0.5000 0.1462 [2 per cell]
3 Ho 0.1627 0.0000 0.3217 [2 per cell]
4 Ho 0.2134 0.5000 0.4245 [2 per cell]
5 Ho 0.2781 0.0000 0.5576 [2 per cell]
6 Ho 0.4018 0.0000 0.8073 [2 per cell]
7 Er 0.3555 0.5000 0.7158 [2 per cell]
8 Tm 0.5000 0.5000 0.0000 [1 per cell]

Top 6 peaks for 2θ from 10° to 90°, most intense first:
(hkl)  two_theta  d/Å  I_rel
1 1 -4  32.64  2.743  100
1 1 3  32.52  2.753  99
0 2 0  31.88  2.807  90
0 1 7  31.38  2.851  60
1 3 -4  57.25  1.609  40
0 1 8  34.86  2.574  38

# Y2HoIn3Hg6
Computed powder X-ray diffraction pattern, λ = 1.5418 Å (Cu Kα). Input: a crystal structure in Alexandria, relaxed with PBE.
Intensities are scaled so that the largest is 100.

Cell and atoms:
a b c (Å): 4.2225 4.2225 20.3190
angles (deg): 90.00 90.00 90.00
Space group P4/mmm (No. 123)
Inequivalent atoms, fractional coordinates:
1 Y 0.0000 0.0000 0.2161 [2 per cell]
2 Ho 0.0000 0.0000 0.5000 [1 per cell]
3 In 0.5000 0.5000 0.0000 [1 per cell]
4 In 0.5000 0.5000 0.2782 [2 per cell]
5 Hg 0.0000 0.5000 0.3879 [4 per cell]
6 Hg 0.5000 0.5000 0.1366 [2 per cell]

Top 6 peaks for 2θ from 10° to 90°, most intense first:
(hkl)  two_theta  d/Å  I_rel
2 0 0  42.83  2.111  100
1 1 1  30.26  2.954  96
1 0 7  37.60  2.392  91
1 1 4  34.85  2.574  89
1 1 5  37.37  2.406  78
1 1 3  32.78  2.732  71